[1]
Computed powder XRD pattern of MgMnV4O12 for a wavelength of 1.5418 Å, from a cell relaxed with PBE+U.

The 12 most intense peaks (5 to 70 degrees two-theta), by intensity:
hkl 2 2 -1, 2θ = 28.04°, rel. 100
hkl 0 2 1, 2θ = 26.11°, rel. 69
hkl 3 1 0, 2θ = 28.74°, rel. 57
hkl 0 0 2, 2θ = 32.52°, rel. 46
hkl 2 0 0, 2θ = 17.78°, rel. 29
hkl 1 1 0, 2θ = 13.51°, rel. 27
hkl 3 1 -1, 2θ = 27.58°, rel. 21
hkl 1 1 1, 2θ = 23.52°, rel. 21
hkl 2 2 -3, 2θ = 50.64°, rel. 19
hkl 5 3 -1, 2θ = 52.98°, rel. 19
hkl 2 2 1, 2θ = 35.15°, rel. 19
hkl 1 1 -1, 2θ = 18.31°, rel. 18

Structure:
Unit cell a=10.765 b=8.696 c=5.942 alpha=90.00 beta=112.06 gamma=90.00
Space group C2 (No. 5)
Inequivalent atoms, fractional coordinates:
Mg 0.000 0.000 0.000 (multiplicity 2)
Mn 0.000 0.195 0.500 (multiplicity 2)
V 0.201 0.851 0.459 (multiplicity 4)
V 0.205 0.656 0.969 (multiplicity 4)
O 0.122 0.132 0.891 (multiplicity 4)
O 0.123 0.027 0.399 (multiplicity 4)
O 0.133 0.362 0.454 (multiplicity 4)
O 0.135 0.779 0.149 (multiplicity 4)
O 0.139 0.486 0.942 (multiplicity 4)
O 0.153 0.743 0.670 (multiplicity 4)


[2]
Computed powder XRD pattern of EuZrVSnO6 for a wavelength of 1.5418 Å, from a cell relaxed with PBE+U.

The 12 most intense peaks (5 to 70 degrees two-theta), by intensity:
hkl 2 2 0, 2θ = 31.27°, rel. 100
hkl 4 2 2, 2θ = 55.66°, rel. 40
hkl 4 0 0, 2θ = 44.82°, rel. 32
hkl 4 4 0, 2θ = 65.24°, rel. 20
hkl 2 2 2, 2θ = 38.55°, rel. 13
hkl 2 0 0, 2θ = 21.98°, rel. 6
hkl 4 2 0, 2θ = 50.45°, rel. 4
hkl 1 1 1, 2θ = 19.00°, rel. 4
hkl 3 1 1, 2θ = 36.85°, rel. 3
hkl 4 4 2, 2θ = 69.75°, rel. 2
hkl 3 3 1, 2θ = 49.09°, rel. 1
hkl 3 3 3, 2θ = 59.36°, rel. 1

Structure:
Unit cell a=8.090 b=8.090 c=8.090 alpha=90.00 beta=90.00 gamma=90.00
Space group F-43m (No. 216)
Inequivalent atoms, fractional coordinates:
Eu 0.000 0.000 0.000 (multiplicity 4)
Zr 0.250 0.250 0.750 (multiplicity 4)
V 0.250 0.250 0.250 (multiplicity 4)
Sn 0.000 0.000 0.500 (multiplicity 4)
O 0.009 0.250 0.250 (multiplicity 24)


[3]
Computed powder XRD pattern of Li3Co2Si2O8 for a wavelength of 1.5418 Å, from a cell relaxed with PBE+U.

The 12 most intense peaks (5 to 70 degrees two-theta), by intensity:
hkl 1 1 -1, 2θ = 21.66°, rel. 100
hkl 1 1 1, 2θ = 22.02°, rel. 94
hkl 2 2 0, 2θ = 33.65°, rel. 72
hkl 1 1 -2, 2θ = 32.77°, rel. 39
hkl 1 1 2, 2θ = 33.26°, rel. 37
hkl 0 2 1, 2θ = 27.50°, rel. 36
hkl 3 3 -2, 2θ = 59.31°, rel. 28
hkl 3 3 2, 2θ = 60.23°, rel. 23
hkl 2 0 0, 2θ = 23.71°, rel. 20
hkl 3 1 -1, 2θ = 40.27°, rel. 15
hkl 2 2 1, 2θ = 36.84°, rel. 13
hkl 0 0 4, 2θ = 58.56°, rel. 13

Structure:
Unit cell a=7.508 b=7.563 c=6.307 alpha=90.00 beta=91.34 gamma=90.00
Space group C2 (No. 5)
Inequivalent atoms, fractional coordinates:
Li 0.000 0.000 0.000 (multiplicity 2)
Li 0.177 0.687 0.264 (multiplicity 4)
Co 0.000 0.025 0.500 (multiplicity 2)
Co 0.000 0.366 0.000 (multiplicity 2)
Si 0.176 0.692 0.755 (multiplicity 4)
O 0.037 0.522 0.783 (multiplicity 4)
O 0.041 0.864 0.749 (multiplicity 4)
O 0.191 0.200 0.026 (multiplicity 4)
O 0.211 0.171 0.459 (multiplicity 4)


[4]
Computed powder XRD pattern of BaMo4O8 for a wavelength of 1.5418 Å, from a cell relaxed with PBE+U.

The 12 most intense peaks (5 to 70 degrees two-theta), by intensity:
hkl 1 1 0, 2θ = 30.25°, rel. 100
hkl 1 0 2, 2θ = 28.58°, rel. 88
hkl 2 -1 4, 2θ = 56.08°, rel. 37
hkl 3 -1 2, 2θ = 52.72°, rel. 31
hkl 3 0 0, 2θ = 53.74°, rel. 30
hkl 2 0 2, 2θ = 42.10°, rel. 30
hkl 0 0 2, 2θ = 22.55°, rel. 28
hkl 1 0 1, 2θ = 20.69°, rel. 28
hkl 2 -1 1, 2θ = 32.36°, rel. 24
hkl 0 0 1, 2θ = 11.22°, rel. 22
hkl 2 -1 2, 2θ = 38.06°, rel. 15
hkl 0 0 4, 2θ = 46.04°, rel. 14

Structure:
Unit cell a=5.9086 b=5.9086 c=7.8857 alpha=90.00 beta=90.00 gamma=120.00
Space group P-31m (No. 162)
Inequivalent atoms, fractional coordinates:
Ba 0.0000 0.0000 0.0000 (multiplicity 1)
Mo 0.3333 0.6667 0.2535 (multiplicity 4)
O 0.0000 0.3374 0.2930 (multiplicity 6)
O 0.3333 0.6667 0.0000 (multiplicity 2)